Record 1
The following is a computed powder X-ray diffraction pattern of TmAl2Ni9. It was derived from a cell relaxed with PBE, using Cu Kα, 1.54184 Å.
Lines closer than 0.1° are merged.

Principal peaks in the range 2θ from 10° to 90°, sorted by position:
hkl  two_theta  d/Å  I/Imax
1 1 1  24.60  3.618  31.0
3 1 0  35.34  2.540  17.8
2 2 1  37.00  2.430  39.5
3 1 1  40.37  2.234  100.0
2 0 2  44.72  2.026  44.8
3 2 1  45.04  2.013  18.4
2 1 2  46.20  1.965  47.5
4 1 0  46.62  1.948  45.3
4 2 0  50.80  1.797  32.6
5 1 2  72.23  1.308  15.5
6 2 2  87.29  1.117  18.8
7 1 1  88.58  1.104  17.5

Cell and atoms:
```
data_TmAl2Ni9
_chemical_formula_sum 'Tm2 Al4 Ni18'
_cell_length_a 8.033
_cell_length_b 8.033
_cell_length_c 4.694
_cell_angle_alpha 90.00
_cell_angle_beta 90.00
_cell_angle_gamma 90.00
_space_group_name_H-M_alt 'P 4/m b m'
_space_group_IT_number 127
_space_group_name_Hall '-P 4 2ab'
loop_
_atom_site_label
_atom_site_type_symbol
_atom_site_fract_x
_atom_site_fract_y
_atom_site_fract_z
Tm1 Tm 0.000 0.000 0.000
Al1 Al 0.121 0.379 0.000
Ni1 Ni 0.000 0.500 0.500
Ni2 Ni 0.064 0.209 0.500
Ni3 Ni 0.178 0.678 0.240
```

***

Record 2
The following is a computed powder X-ray diffraction pattern of Tm3Al8Ni3. It was derived from a cell relaxed with PBE, using Cu Kα, 1.54184 Å.
Lines closer than 0.1° are merged.

Principal peaks in the range 2θ from 10° to 90°, sorted by position:
hkl  two_theta  d/Å  I/Imax
2 0 -2  19.88  4.465  72.5
1 1 -1  22.97  3.871  63.2
3 1 0  29.89  2.989  67.7
6 0 -2  35.08  2.558  64.4
1 1 2  36.16  2.484  100.0
3 1 -3  36.73  2.447  71.2
3 1 1  36.99  2.430  83.1
0 0 3  37.12  2.422  35.6
1 1 -3  39.56  2.278  31.3
0 2 0  42.07  2.148  53.6
7 1 0  55.77  1.648  21.0
6 2 -2  55.89  1.645  33.4

Cell and atoms:
```
data_Tm3Al8Ni3
_chemical_formula_sum 'Tm6 Al16 Ni6'
_cell_length_a 15.333
_cell_length_b 4.296
_cell_length_c 8.931
_cell_angle_alpha 90.00
_cell_angle_beta 125.47
_cell_angle_gamma 90.00
_space_group_name_H-M_alt 'C 1 2/m 1'
_space_group_IT_number 12
_space_group_name_Hall '-C 2y'
loop_
_atom_site_label
_atom_site_type_symbol
_atom_site_fract_x
_atom_site_fract_y
_atom_site_fract_z
Tm1 Tm 0.000 0.000 0.000
Tm2 Tm 0.217 0.500 0.714
Al1 Al 0.007 0.500 0.672
Al2 Al 0.133 0.000 0.429
Al3 Al 0.149 0.500 0.274
Al4 Al 0.150 0.000 0.867
Ni1 Ni 0.000 0.000 0.500
Ni2 Ni 0.150 0.500 0.003
```

***

Record 3
The following is a computed powder X-ray diffraction pattern of UAlNi6. It was derived from a cell relaxed with PBE, using Cu Kα, 1.54184 Å.
Lines closer than 0.1° are merged.

Principal peaks in the range 2θ from 10° to 90°, sorted by position:
hkl  two_theta  d/Å  I/Imax
1 0 0  19.75  4.495  40.2
0 0 1  20.62  4.308  15.8
1 0 1  28.70  3.110  26.4
2 0 0  40.12  2.247  30.3
1 1 1  40.58  2.223  17.6
0 0 2  41.94  2.154  27.5
2 0 1  45.52  1.993  100.0
1 0 2  46.76  1.943  9.4
2 0 2  59.44  1.555  18.8
2 2 0  72.90  1.298  15.1
2 0 3  79.15  1.210  18.9
2 2 2  87.83  1.111  18.8

Cell and atoms:
```
data_UAlNi6
_chemical_formula_sum 'U1 Al1 Ni6'
_cell_length_a 5.1901
_cell_length_b 5.1901
_cell_length_c 4.3082
_cell_angle_alpha 90.00
_cell_angle_beta 90.00
_cell_angle_gamma 120.00
_space_group_name_H-M_alt 'P -6 m 2'
_space_group_IT_number 187
_space_group_name_Hall 'P -6 2'
loop_
_atom_site_label
_atom_site_type_symbol
_atom_site_fract_x
_atom_site_fract_y
_atom_site_fract_z
U1 U 0.0000 0.0000 0.0000
Al1 Al 0.3333 0.6667 0.5000
Ni1 Ni 0.3470 0.1735 0.5000
Ni2 Ni 0.5019 0.0039 0.0000
```

***

Record 4
The following is a computed powder X-ray diffraction pattern of UAlNi6. It was derived from a cell relaxed with PBE, using Cu Kα, 1.54184 Å.
Lines closer than 0.1° are merged.

Principal peaks in the range 2θ from 10° to 90°, sorted by position:
hkl  two_theta  d/Å  I/Imax
1 1 0  14.72  6.019  27.3
0 2 1  19.01  4.669  19.4
1 1 2  22.45  3.961  25.2
0 2 2  24.04  3.702  15.3
0 4 0  34.35  2.611  16.1
2 0 4  42.21  2.141  99.1
2 4 0  42.49  2.128  100.0
0 4 4  49.23  1.851  62.5
4 0 0  49.45  1.843  31.8
4 4 4  72.35  1.306  38.0
2 4 8  87.13  1.119  22.5
6 0 4  87.68  1.113  34.7

Cell and atoms:
```
data_UAlNi6
_chemical_formula_sum 'U8 Al8 Ni48'
_cell_length_a 7.372
_cell_length_b 10.422
_cell_length_c 10.521
_cell_angle_alpha 90.00
_cell_angle_beta 90.00
_cell_angle_gamma 90.00
_space_group_name_H-M_alt 'C m m m'
_space_group_IT_number 65
_space_group_name_Hall '-C 2 2'
loop_
_atom_site_label
_atom_site_type_symbol
_atom_site_fract_x
_atom_site_fract_y
_atom_site_fract_z
U1 U 0.000 0.000 0.237
U2 U 0.000 0.254 0.500
Al1 Al 0.000 0.246 0.000
Al2 Al 0.000 0.500 0.241
Ni1 Ni 0.000 0.000 0.000
Ni2 Ni 0.000 0.000 0.500
Ni3 Ni 0.000 0.251 0.243
Ni4 Ni 0.000 0.500 0.000
Ni5 Ni 0.000 0.500 0.500
Ni6 Ni 0.245 0.375 0.120
Ni7 Ni 0.249 0.377 0.368
```

***

Record 5
The following is a computed powder X-ray diffraction pattern of AlV4Ni12. It was derived from a cell relaxed with PBE, using Cu Kα, 1.54184 Å.
Lines closer than 0.1° are merged.

Principal peaks in the range 2θ from 10° to 90°, sorted by position:
hkl  two_theta  d/Å  I/Imax
1 1 0  16.93  5.238  5.4
2 0 0  24.03  3.704  5.3
3 1 0  38.43  2.343  4.3
2 2 2  42.26  2.139  100.0
3 2 1  45.83  1.980  8.1
4 0 0  49.20  1.852  51.0
3 3 0  52.40  1.746  9.4
3 3 2  58.43  1.579  9.4
4 4 0  72.13  1.310  24.1
5 4 1  84.82  1.143  4.6
6 2 2  87.30  1.117  22.1
6 3 1  89.79  1.092  5.2

Cell and atoms:
```
data_AlV4Ni12
_chemical_formula_sum 'Al2 V8 Ni24'
_cell_length_a 7.408
_cell_length_b 7.408
_cell_length_c 7.408
_cell_angle_alpha 90.00
_cell_angle_beta 90.00
_cell_angle_gamma 90.00
_space_group_name_H-M_alt 'I m -3 m'
_space_group_IT_number 229
_space_group_name_Hall '-I 4 2 3'
loop_
_atom_site_label
_atom_site_type_symbol
_atom_site_fract_x
_atom_site_fract_y
_atom_site_fract_z
Al1 Al 0.000 0.000 0.000
V1 V 0.250 0.250 0.250
Ni1 Ni 0.000 0.000 0.299
Ni2 Ni 0.000 0.250 0.500
```

***

Record 6
The following is a computed powder X-ray diffraction pattern of AlV2Ni6. It was derived from a cell relaxed with PBE, using Cu Kα, 1.54184 Å.
Lines closer than 0.1° are merged.

Principal peaks in the range 2θ from 10° to 90°, sorted by position:
hkl  two_theta  d/Å  I/Imax
2 0 0  14.58  6.077  2.2
0 2 0  25.39  3.509  4.5
0 0 1  36.20  2.482  9.1
2 0 1  39.23  2.297  0.7
6 0 0  44.73  2.026  100.0
3 3 1  58.84  1.570  10.3
6 0 1  58.91  1.568  2.1
0 4 1  65.09  1.433  8.7
6 2 1  65.18  1.431  4.3
0 0 2  76.83  1.241  3.3
9 3 0  82.45  1.170  16.9
9 1 1  82.53  1.169  4.3

Cell and atoms:
```
data_AlV2Ni6
_chemical_formula_sum 'Al2 V4 Ni12'
_cell_length_a 12.154
_cell_length_b 7.017
_cell_length_c 2.482
_cell_angle_alpha 90.00
_cell_angle_beta 90.11
_cell_angle_gamma 90.00
_space_group_name_H-M_alt 'C 1 2/m 1'
_space_group_IT_number 12
_space_group_name_Hall '-C 2y'
loop_
_atom_site_label
_atom_site_type_symbol
_atom_site_fract_x
_atom_site_fract_y
_atom_site_fract_z
Al1 Al 0.000 0.000 0.000
V1 V 0.167 0.500 0.000
Ni1 Ni 0.000 0.334 0.500
Ni2 Ni 0.167 0.167 0.488
```

***

Record 7
The following is a computed powder X-ray diffraction pattern of Y2Al5Ni5. It was derived from a cell relaxed with PBE, using Cu Kα, 1.54184 Å.
Lines closer than 0.1° are merged.

Principal peaks in the range 2θ from 10° to 90°, sorted by position:
hkl  two_theta  d/Å  I/Imax
1 1 1  24.80  3.590  52.9
1 1 -3  29.75  3.003  34.6
2 1 -4  37.87  2.376  100.0
2 1 4  37.96  2.370  86.5
2 0 -6  40.22  2.242  38.9
4 0 0  40.40  2.232  84.7
3 1 -3  41.43  2.179  81.6
3 1 3  41.56  2.173  42.1
0 2 0  44.72  2.026  78.6
2 1 -6  46.28  1.962  31.2
2 1 6  46.44  1.955  50.1
4 2 0  61.83  1.500  45.3

Cell and atoms:
```
data_Y2Al5Ni5
_chemical_formula_sum 'Y6 Al15 Ni15'
_cell_length_a 8.925
_cell_length_b 4.053
_cell_length_c 15.519
_cell_angle_alpha 90.00
_cell_angle_beta 90.25
_cell_angle_gamma 90.00
_space_group_name_H-M_alt 'P 1 m 1'
_space_group_IT_number 6
_space_group_name_Hall 'P -2y'
loop_
_atom_site_label
_atom_site_type_symbol
_atom_site_fract_x
_atom_site_fract_y
_atom_site_fract_z
Y1 Y 0.000 0.000 0.000
Y2 Y 0.002 0.000 0.335
Y3 Y 0.487 0.500 0.168
Y4 Y 0.499 0.000 0.833
Y5 Y 0.503 0.000 0.506
Y6 Y 0.995 0.500 0.675
Al1 Al 0.007 0.500 0.169
Al2 Al 0.149 0.000 0.522
Al3 Al 0.244 0.500 0.911
Al4 Al 0.252 0.500 0.422
Al5 Al 0.285 0.000 0.675
Al6 Al 0.344 0.000 0.027
Al7 Al 0.347 0.000 0.310
Al8 Al 0.511 0.500 0.668
Al9 Al 0.643 0.000 0.021
Al10 Al 0.647 0.000 0.317
Al11 Al 0.745 0.500 0.922
Al12 Al 0.752 0.500 0.418
Al13 Al 0.796 0.000 0.169
Al14 Al 0.850 0.000 0.530
Al15 Al 0.857 0.000 0.810
Ni1 Ni 0.000 0.500 0.490
Ni2 Ni 0.146 0.000 0.818
Ni3 Ni 0.196 0.000 0.168
Ni4 Ni 0.219 0.500 0.071
Ni5 Ni 0.223 0.500 0.264
Ni6 Ni 0.274 0.500 0.582
Ni7 Ni 0.281 0.500 0.758
Ni8 Ni 0.491 0.500 0.986
Ni9 Ni 0.499 0.500 0.351
Ni10 Ni 0.700 0.000 0.671
Ni11 Ni 0.723 0.500 0.766
Ni12 Ni 0.728 0.500 0.575
Ni13 Ni 0.771 0.500 0.080
Ni14 Ni 0.772 0.500 0.258
Ni15 Ni 0.991 0.500 0.855
```

***

Record 8
The following is a computed powder X-ray diffraction pattern of Y4AlNi. It was derived from a cell relaxed with PBE, using Cu Kα, 1.54184 Å.
Lines closer than 0.1° are merged.

Principal peaks in the range 2θ from 10° to 90°, sorted by position:
hkl  two_theta  d/Å  I/Imax
0 0 1  10.78  8.211  14.6
0 1 2  25.16  3.539  14.2
1 2 -1  31.51  2.839  43.7
0 0 3  32.68  2.740  10.2
0 2 2  33.69  2.661  100.0
1 0 -3  34.00  2.637  46.6
1 1 -3  36.43  2.466  15.2
2 1 -2  39.22  2.297  9.9
1 0 3  39.85  2.262  16.1
2 1 1  39.99  2.255  12.3
0 4 0  52.33  1.748  16.6
1 4 -3  63.88  1.457  14.4

Cell and atoms:
```
data_Y4AlNi
_chemical_formula_sum 'Y8 Al2 Ni2'
_cell_length_a 5.361
_cell_length_b 6.994
_cell_length_c 8.357
_cell_angle_alpha 90.00
_cell_angle_beta 100.74
_cell_angle_gamma 90.00
_space_group_name_H-M_alt 'P 1 21/m 1'
_space_group_IT_number 11
_space_group_name_Hall '-P 2yb'
loop_
_atom_site_label
_atom_site_type_symbol
_atom_site_fract_x
_atom_site_fract_y
_atom_site_fract_z
Y1 Y 0.136 0.250 0.056
Y2 Y 0.219 0.750 0.379
Y3 Y 0.329 0.511 0.756
Al1 Al 0.226 0.250 0.426
Ni1 Ni 0.360 0.750 0.050
```

***

Record 9
The following is a computed powder X-ray diffraction pattern of Y4Al12Ni. It was derived from a cell relaxed with PBE, using Cu Kα, 1.54184 Å.
Lines closer than 0.1° are merged.

Principal peaks in the range 2θ from 10° to 90°, sorted by position:
hkl  two_theta  d/Å  I/Imax
2 0 0  20.64  4.303  28.9
2 2 0  29.36  3.042  77.6
2 2 2  36.16  2.484  100.0
3 2 1  39.17  2.300  10.7
4 0 0  42.00  2.151  71.1
4 2 0  47.24  1.924  15.4
4 2 2  52.07  1.757  26.8
4 4 0  60.90  1.521  43.7
6 2 0  69.03  1.361  14.9
6 2 2  72.92  1.297  33.0
4 4 4  76.73  1.242  13.8
6 4 2  84.20  1.150  15.4

Cell and atoms:
```
data_Y4Al12Ni
_chemical_formula_sum 'Y8 Al24 Ni2'
_cell_length_a 8.605
_cell_length_b 8.605
_cell_length_c 8.605
_cell_angle_alpha 90.00
_cell_angle_beta 90.00
_cell_angle_gamma 90.00
_space_group_name_H-M_alt 'I m -3 m'
_space_group_IT_number 229
_space_group_name_Hall '-I 4 2 3'
loop_
_atom_site_label
_atom_site_type_symbol
_atom_site_fract_x
_atom_site_fract_y
_atom_site_fract_z
Y1 Y 0.250 0.250 0.250
Al1 Al 0.000 0.000 0.283
Al2 Al 0.000 0.250 0.500
Ni1 Ni 0.000 0.000 0.000
```

***

Record 10
The following is a computed powder X-ray diffraction pattern of YAl2Ni9. It was derived from a cell relaxed with PBE, using Cu Kα, 1.54184 Å.
Lines closer than 0.1° are merged.

Principal peaks in the range 2θ from 10° to 90°, sorted by position:
hkl  two_theta  d/Å  I/Imax
0 0 1  18.81  4.717  35.7
2 1 0  24.72  3.602  18.1
2 2 1  36.87  2.438  33.7
3 1 1  40.24  2.241  100.0
2 0 2  44.52  2.035  46.9
3 2 1  44.90  2.019  31.7
2 1 2  46.00  1.973  82.5
4 1 0  46.49  1.953  77.1
3 3 0  47.92  1.898  20.8
4 2 0  50.69  1.801  22.7
6 2 2  86.95  1.120  21.7
7 1 1  88.29  1.107  18.7

Cell and atoms:
```
data_YAl2Ni9
_chemical_formula_sum 'Y2 Al4 Ni18'
_cell_length_a 8.053
_cell_length_b 8.053
_cell_length_c 4.717
_cell_angle_alpha 90.00
_cell_angle_beta 90.00
_cell_angle_gamma 90.00
_space_group_name_H-M_alt 'P 4/m b m'
_space_group_IT_number 127
_space_group_name_Hall '-P 4 2ab'
loop_
_atom_site_label
_atom_site_type_symbol
_atom_site_fract_x
_atom_site_fract_y
_atom_site_fract_z
Y1 Y 0.000 0.000 0.000
Al1 Al 0.121 0.379 0.000
Ni1 Ni 0.000 0.500 0.500
Ni2 Ni 0.065 0.210 0.500
Ni3 Ni 0.177 0.677 0.240
```